# Tl2Sb
Theoretical powder diffractogram, CuKα. Input: DFT lattice parameters and positions (GGA-PBE).

Cell and atoms:
Cell lengths 3.419, 3.419, 33.337 Å; angles 90.00, 90.00, 90.00 degrees
Space group I4_1/amd (No. 141, origin choice 2)
Inequivalent atoms, fractional coordinates:
Tl: 0.000 0.250 0.300 (multiplicity 8)
Sb: 0.000 0.250 0.875 (multiplicity 4)

Largest 10 diffraction maxima, in order of rising 2θ, 2θ from 10° to 80°:
4.167 Å, rel. 15, (0 0 8); 3.401 Å, rel. 25, (1 0 1); 3.042 Å, rel. 57, (1 0 5); 2.778 Å, rel. 100, (0 0 12); 2.512 Å, rel. 19, (1 0 9); 2.392 Å, rel. 46, (1 1 2); 2.217 Å, rel. 20, (1 1 6); 1.709 Å, rel. 18, (2 0 0); 1.696 Å, rel. 33, (1 1 14); 1.456 Å, rel. 36, (2 0 12)


# AcAl5Cu3
Theoretical powder diffractogram, CuKα. Input: DFT lattice parameters and positions (GGA-PBE).

Cell and atoms:
Cell lengths 4.028, 12.672, 12.706 Å; angles 90.00, 90.00, 90.00 degrees
Space group Cmcm (No. 63)
Inequivalent atoms, fractional coordinates:
Ac: 0.000 0.161 0.250 (multiplicity 4)
Al: 0.000 0.000 0.000 (multiplicity 4)
Al: 0.000 0.198 0.565 (multiplicity 8)
Al: 0.000 0.444 0.149 (multiplicity 8)
Cu: 0.000 0.124 0.750 (multiplicity 4)
Cu: 0.000 0.389 0.542 (multiplicity 8)

Largest 10 diffraction maxima, in order of rising 2θ, 2θ from 10° to 80°:
6.351 Å, rel. 28, (0 0 2); 5.670 Å, rel. 40, (0 2 1); 3.286 Å, rel. 66, (1 1 2); 3.173 Å, rel. 71, (0 0 4); 2.915 Å, rel. 35, (1 3 0); 2.844 Å, rel. 70, (1 1 3); 2.650 Å, rel. 100, (1 3 2); 2.147 Å, rel. 32, (1 5 0); 2.014 Å, rel. 32, (2 0 0); 1.914 Å, rel. 25, (1 5 3)


Repeat the first record exactly.
# Tl2Sb
Theoretical powder diffractogram, CuKα. Input: DFT lattice parameters and positions (GGA-PBE).

Cell and atoms:
Cell lengths 3.419, 3.419, 33.337 Å; angles 90.00, 90.00, 90.00 degrees
Space group I4_1/amd (No. 141, origin choice 2)
Inequivalent atoms, fractional coordinates:
Tl: 0.000 0.250 0.300 (multiplicity 8)
Sb: 0.000 0.250 0.875 (multiplicity 4)

Largest 10 diffraction maxima, in order of rising 2θ, 2θ from 10° to 80°:
4.167 Å, rel. 15, (0 0 8); 3.401 Å, rel. 25, (1 0 1); 3.042 Å, rel. 57, (1 0 5); 2.778 Å, rel. 100, (0 0 12); 2.512 Å, rel. 19, (1 0 9); 2.392 Å, rel. 46, (1 1 2); 2.217 Å, rel. 20, (1 1 6); 1.709 Å, rel. 18, (2 0 0); 1.696 Å, rel. 33, (1 1 14); 1.456 Å, rel. 36, (2 0 12)


Repeat the first record exactly.
# Tl2Sb
Theoretical powder diffractogram, CuKα. Input: DFT lattice parameters and positions (GGA-PBE).

Cell and atoms:
Cell lengths 3.419, 3.419, 33.337 Å; angles 90.00, 90.00, 90.00 degrees
Space group I4_1/amd (No. 141, origin choice 2)
Inequivalent atoms, fractional coordinates:
Tl: 0.000 0.250 0.300 (multiplicity 8)
Sb: 0.000 0.250 0.875 (multiplicity 4)

Largest 10 diffraction maxima, in order of rising 2θ, 2θ from 10° to 80°:
4.167 Å, rel. 15, (0 0 8); 3.401 Å, rel. 25, (1 0 1); 3.042 Å, rel. 57, (1 0 5); 2.778 Å, rel. 100, (0 0 12); 2.512 Å, rel. 19, (1 0 9); 2.392 Å, rel. 46, (1 1 2); 2.217 Å, rel. 20, (1 1 6); 1.709 Å, rel. 18, (2 0 0); 1.696 Å, rel. 33, (1 1 14); 1.456 Å, rel. 36, (2 0 12)